Entry 1:
For Li3V2P4H2O16, DFT lattice parameters and positions (PBE+U) gives the calculated X-ray powder pattern in this record (Cu Kα, 1.54184 Å).
Intensities are scaled so that the largest is 100.

Cell and atoms:
```
Li3V2P4H2O16
1.0
7.885 0.000 0.000
-0.006 8.077 0.000
-3.657 -0.012 9.055
Li V P H O
6 4 8 4 32
Cartesian
0.000 0.000 0.000
-1.788 8.038 4.546
2.268 2.127 0.441
2.133 6.140 4.507
0.372 6.186 9.019
4.380 4.034 4.931
1.114 5.090 0.217
-0.681 5.047 4.755
3.175 1.062 4.730
5.094 1.104 0.209
2.295 7.896 1.849
0.473 7.926 6.381
0.225 3.897 7.609
2.096 3.835 3.072
4.411 6.337 6.393
6.301 6.309 1.861
5.965 2.257 3.094
4.192 2.332 7.580
0.032 1.113 2.604
-1.658 1.116 7.033
2.219 5.092 7.062
4.338 5.130 2.367
-1.310 6.472 3.368
-3.143 6.505 7.911
-0.408 5.495 1.228
-0.627 1.407 3.355
-2.365 1.523 7.818
-0.852 0.577 6.176
0.995 0.585 1.592
-0.156 3.719 6.140
1.734 3.693 1.555
-0.904 4.757 8.330
0.978 4.650 3.763
2.247 6.504 1.161
0.446 6.579 5.643
0.305 2.557 8.337
2.243 2.420 3.676
3.428 0.658 1.198
2.622 7.723 3.371
1.681 0.665 5.732
0.829 7.757 7.879
1.511 4.751 7.826
3.392 4.635 3.317
3.103 5.561 6.145
4.956 5.552 1.609
5.643 2.412 1.612
3.847 2.476 6.074
4.843 1.399 3.804
3.121 1.482 8.282
4.330 7.718 5.689
6.206 7.638 1.112
6.054 3.604 3.805
4.376 3.713 8.225
5.530 5.496 5.731
```

Principal peaks in the range 2θ = 10–90°, most intense first:
two_theta  I (rel.)
24.92  100
29.00  89
16.35  71
25.19  67
33.05  58
22.51  57

Entry 2:
For Li2Mn15O32, DFT lattice parameters and positions (PBE+U) gives the calculated X-ray powder pattern in this record (Cu Kα, 1.54184 Å).
Intensities are scaled so that the largest is 100.

Cell and atoms:
```
Li2Mn15O32
1.0
2.916 1.683 19.093
-2.916 1.683 19.093
0.000 -3.367 19.093
Li Mn O
2 15 32
Cartesian
0.000 0.000 0.000
0.000 0.000 17.846
-1.483 -0.856 20.836
0.000 -1.685 11.325
-1.459 0.842 11.325
0.000 0.000 3.485
0.000 0.000 8.921
0.000 -1.649 25.641
-1.428 0.824 25.641
-1.438 -0.830 35.215
1.459 0.842 11.325
1.483 -0.856 20.836
0.000 1.713 20.836
1.428 0.824 25.641
1.438 -0.830 35.215
0.000 1.660 35.215
0.000 0.000 51.923
0.000 -1.897 14.986
-1.643 0.949 14.986
0.000 0.000 5.502
-1.367 -0.789 24.689
-1.633 -0.943 31.537
0.000 0.000 12.300
0.000 -1.558 21.924
-1.350 0.779 21.924
0.000 -1.886 29.293
-1.633 0.943 29.293
0.000 0.000 19.863
-1.369 -0.791 38.976
-1.641 -0.948 45.851
0.000 0.000 26.653
0.000 -1.599 36.160
-1.385 0.800 36.160
1.367 -0.789 24.689
0.000 1.578 24.689
0.000 0.000 34.211
1.643 0.949 14.986
1.350 0.779 21.924
0.000 0.000 40.951
1.633 -0.943 31.537
0.000 1.885 31.537
1.369 -0.791 38.976
0.000 1.581 38.976
0.000 0.000 48.533
1.633 0.943 29.293
1.385 0.800 36.160
0.000 0.000 55.311
1.641 -0.948 45.851
0.000 1.895 45.851
```

Principal peaks in the range 2θ = 10–90°, most intense first:
two_theta  I (rel.)
18.61  100
43.88  54
36.10  51
63.85  18
63.73  16
58.08  12

Entry 3:
For NiF3, DFT lattice parameters and positions (PBE+U) gives the calculated X-ray powder pattern in this record (Cu Kα, 1.54184 Å).
Intensities are scaled so that the largest is 100.

Cell and atoms:
```
NiF3
1.0
2.444 1.411 4.378
-2.444 1.411 4.378
0.000 -2.822 4.378
Ni F
2 6
Cartesian
0.000 0.000 0.000
0.000 0.000 6.567
-1.640 0.171 5.422
-0.968 -1.335 7.712
0.672 -1.506 5.422
-0.672 1.506 7.712
0.968 1.335 5.422
1.640 -0.171 7.712
```

Principal peaks in the range 2θ = 10–90°, most intense first:
two_theta  I (rel.)
25.03  100
56.43  30
34.57  29
42.35  20
51.36  15
59.46  13

Entry 4:
For Na3FeSiCO7, DFT lattice parameters and positions (PBE+U) gives the calculated X-ray powder pattern in this record (Cu Kα, 1.54184 Å).
Intensities are scaled so that the largest is 100.

Cell and atoms:
```
Na3FeSiCO7
1.0
5.254 0.000 0.000
0.000 6.613 0.000
-0.105 0.000 9.012
Na Fe Si C O
6 2 2 2 14
Cartesian
1.240 1.653 0.792
1.268 3.358 6.618
1.268 6.561 6.618
3.880 0.052 2.394
3.880 3.255 2.394
3.909 4.960 8.220
1.066 4.960 3.204
4.083 1.653 5.808
1.496 1.653 3.786
3.653 4.960 5.226
1.394 4.960 0.562
3.755 1.653 8.449
0.207 4.960 1.100
0.679 1.653 5.206
1.150 0.338 2.853
1.150 2.968 2.853
1.437 4.960 8.291
2.027 4.960 4.894
2.426 4.960 1.359
2.723 1.653 7.653
3.122 1.653 4.118
3.712 1.653 0.721
3.998 3.644 6.159
3.998 6.275 6.159
4.470 4.960 3.806
4.942 1.653 7.911
```

Principal peaks in the range 2θ = 10–90°, most intense first:
two_theta  I (rel.)
34.16  100
33.61  95
26.97  77
48.90  49
33.47  38
16.63  31

Entry 5:
For VCo3O8, DFT lattice parameters and positions (PBE+U) gives the calculated X-ray powder pattern in this record (Cu Kα, 1.54184 Å).
Intensities are scaled so that the largest is 100.

Cell and atoms:
```
VCo3O8
1.0
2.838 -4.953 0.000
2.838 4.953 0.000
-0.077 0.000 8.847
V Co O
2 6 16
Cartesian
2.799 3.293 4.423
2.838 -3.293 0.000
1.343 0.849 2.503
1.304 -0.849 6.927
2.751 1.663 6.995
2.790 -1.663 2.572
4.232 0.842 2.550
4.194 -0.842 6.974
1.495 2.636 5.876
2.737 4.754 5.896
1.228 0.788 8.010
2.785 3.307 7.900
1.266 -0.788 3.587
2.802 1.688 3.556
4.038 2.672 5.798
2.756 0.004 1.689
2.718 -0.004 6.113
1.533 -2.636 1.453
2.764 -1.688 7.980
4.204 0.797 7.992
4.243 -0.797 3.568
2.824 -3.307 3.476
2.776 -4.754 1.472
4.076 -2.672 1.375
```

Principal peaks in the range 2θ = 10–90°, most intense first:
two_theta  I (rel.)
20.07  100
20.56  81
47.96  46
20.71  39
41.83  34
37.74  31

Entry 6:
For Li9Mn2Co5O16, DFT lattice parameters and positions (PBE+U) gives the calculated X-ray powder pattern in this record (Cu Kα, 1.54184 Å).
Intensities are scaled so that the largest is 100.

Cell and atoms:
```
Li9Mn2Co5O16
1.0
5.857 -2.885 0.000
5.857 2.885 0.000
-0.045 0.000 8.506
Li Mn Co O
9 2 5 16
Cartesian
0.000 0.000 0.000
-0.023 0.000 4.253
4.370 1.449 6.290
2.907 0.000 4.263
7.298 1.449 2.216
5.857 0.000 0.000
4.370 -1.449 6.290
8.761 0.000 4.242
7.298 -1.449 2.216
2.878 0.000 8.485
8.790 0.000 0.021
4.414 1.464 2.226
7.255 1.464 6.280
5.834 0.000 4.253
4.414 -1.464 2.226
7.255 -1.464 6.280
0.101 0.000 6.448
4.267 1.431 0.007
4.477 1.336 4.190
2.832 0.000 6.419
3.054 0.000 2.072
7.191 1.336 4.316
7.402 1.431 8.499
5.817 0.000 2.306
5.851 0.000 6.199
4.267 -1.431 0.007
4.477 -1.336 4.190
8.614 0.000 6.433
8.836 0.000 2.087
7.191 -1.336 4.316
7.402 -1.431 8.499
11.567 0.000 2.058
```

Principal peaks in the range 2θ = 10–90°, most intense first:
two_theta  I (rel.)
18.35  100
44.07  53
42.51  29
36.31  26
35.24  15
62.76  15

Entry 7:
For Ba4MgCo4O10, DFT lattice parameters and positions (PBE+U) gives the calculated X-ray powder pattern in this record (Cu Kα, 1.54184 Å).
Intensities are scaled so that the largest is 100.

Cell and atoms:
```
Ba4MgCo4O10
1.0
5.498 0.000 0.000
-0.012 5.751 0.000
-2.729 -2.874 9.327
Ba Mg Co O
4 1 4 10
Cartesian
0.000 0.000 0.000
-0.042 -0.064 3.925
2.698 2.813 0.239
2.749 2.875 4.169
1.067 -1.204 6.736
-0.032 2.839 2.085
0.346 2.087 6.756
2.723 -0.037 2.081
3.164 0.412 6.746
-0.366 0.284 6.744
0.135 3.114 5.248
1.320 1.440 2.124
1.368 4.312 2.062
0.125 3.088 8.273
2.371 -0.431 5.258
2.339 2.145 6.751
4.064 1.370 2.103
4.123 4.246 2.047
2.363 -0.444 8.222
```

Principal peaks in the range 2θ = 10–90°, most intense first:
two_theta  I (rel.)
29.53  100
36.70  44
32.58  28
31.10  25
45.65  24
22.37  21

Entry 8:
For ZnCrAs2O7, DFT lattice parameters and positions (PBE+U) gives the calculated X-ray powder pattern in this record (Cu Kα, 1.54184 Å).
Intensities are scaled so that the largest is 100.

Cell and atoms:
```
ZnCrAs2O7
1.0
7.360 0.000 0.000
0.000 8.656 0.000
-3.808 0.000 9.023
Zn Cr As O
4 4 8 28
Cartesian
1.298 0.608 0.936
-0.606 3.720 5.448
4.158 4.936 3.575
2.254 8.048 8.087
-0.336 0.486 6.020
1.568 3.842 1.508
1.984 4.814 7.515
3.888 8.170 3.004
-2.383 6.281 6.773
-0.479 6.703 2.261
3.312 6.302 0.335
1.408 6.683 4.846
2.144 1.973 4.177
0.240 2.355 8.689
4.031 1.953 6.762
5.935 2.375 2.250
-2.062 5.200 5.477
-0.158 7.784 0.965
-1.667 2.042 6.327
0.237 2.286 1.815
0.160 5.166 2.114
-1.744 7.818 6.625
-1.663 5.530 8.233
0.241 7.454 3.721
0.600 2.030 4.936
2.504 2.298 0.424
0.927 5.166 5.415
2.831 7.818 0.904
2.259 0.755 2.975
0.355 3.573 7.486
3.197 5.083 1.537
1.293 7.902 6.048
0.721 0.838 8.119
2.625 3.490 3.608
1.048 6.358 8.599
2.951 6.626 4.087
3.311 1.202 5.302
5.215 3.126 0.790
5.296 0.838 2.398
3.392 3.490 6.909
3.315 6.370 7.208
5.219 6.614 2.696
3.710 0.872 8.058
5.614 3.456 3.546
```

Principal peaks in the range 2θ = 10–90°, most intense first:
two_theta  I (rel.)
28.04  100
27.68  49
33.58  23
55.09  15
45.33  12
33.75  10

Entry 9:
For MoOsPb2O6, DFT lattice parameters and positions (PBE+U) gives the calculated X-ray powder pattern in this record (Cu Kα, 1.54184 Å).
Intensities are scaled so that the largest is 100.

Cell and atoms:
```
MoOsPb2O6
1.0
0.000 4.077 4.077
4.077 0.000 4.077
4.077 4.077 0.000
Mo Os Pb O
1 1 2 6
Cartesian
0.000 0.000 0.000
4.077 4.077 4.077
2.038 2.038 2.038
6.115 6.115 6.115
4.077 4.077 2.104
4.077 2.104 4.077
6.050 4.077 4.077
2.104 4.077 4.077
4.077 6.050 4.077
4.077 4.077 6.050
```

Principal peaks in the range 2θ = 10–90°, most intense first:
two_theta  I (rel.)
31.02  100
55.19  41
44.44  27
73.45  18
64.67  17
81.85  6